For Rb6ZrBi4, the GGA-PBE geometry in Alexandria gives the simulated PXRD pattern in this record (a wavelength of 1.5418 Å).
Lines closer than 0.1° are merged.

Principal peaks in the range 2θ from 10° to 80°, by intensity:
2θ = 30.18°, intensity 100, (2 2 0)
2θ = 25.89°, intensity 71, (2 0 2)
2θ = 27.81°, intensity 54, (3 0 1)
2θ = 24.89°, intensity 52, (2 1 1)
2θ = 48.59°, intensity 51, (3 2 3)
2θ = 19.78°, intensity 46, (2 0 1)
2θ = 12.86°, intensity 29, (1 0 1)
2θ = 30.03°, intensity 29, (2 1 2)
2θ = 33.83°, intensity 25, (2 0 3)
2θ = 17.30°, intensity 24, (2 0 0)

Cell and atoms:
a b c (Å): 11.8406 11.8406 9.2857
angles (deg): 90.00 90.00 120.00
Atoms (fractional coordinates):
1 Rb 0.0596 0.5298 0.0000
2 Rb 0.1429 0.2858 0.6841
3 Rb 0.1429 0.8571 0.6841
4 Rb 0.2858 0.1429 0.1841
5 Rb 0.4702 0.5298 0.0000
6 Rb 0.4702 0.9404 0.0000
7 Rb 0.5298 0.0596 0.5000
8 Rb 0.5298 0.4702 0.5000
9 Rb 0.7142 0.8571 0.6841
10 Rb 0.8571 0.1429 0.1841
11 Rb 0.8571 0.7142 0.1841
12 Rb 0.9404 0.4702 0.5000
13 Zr 0.3333 0.6667 0.3853
14 Zr 0.6667 0.3333 0.8853
15 Bi 0.1981 0.3961 0.2948
16 Bi 0.1981 0.8019 0.2948
17 Bi 0.3333 0.6667 0.6957
18 Bi 0.3961 0.1981 0.7948
19 Bi 0.6039 0.8019 0.2948
20 Bi 0.6667 0.3333 0.1957
21 Bi 0.8019 0.1981 0.7948
22 Bi 0.8019 0.6039 0.7948